Record 1
RbInAgI5: simulated powder diffractogram (Cu Kα X-rays), based on the PBE geometry in Alexandria.
No peak broadening, texture or thermal motion is included.

Structure:
```
RbInAgI5
1.0
5.4813 -7.1607 0.0000
5.4813 7.1607 0.0000
-3.5361 0.0000 9.5056
Rb In Ag I
2 2 2 10
direct
0.1633 0.8367 0.7500
0.8367 0.1633 0.2500
0.1651 0.8349 0.2500
0.8349 0.1651 0.7500
0.5000 0.5000 0.0000
0.5000 0.5000 0.5000
0.1212 0.2333 0.9531
0.1574 0.5973 0.3851
0.2333 0.1212 0.4531
0.4027 0.8426 0.1149
0.4258 0.5742 0.7500
0.5742 0.4258 0.2500
0.5973 0.1574 0.8851
0.7667 0.8788 0.5469
0.8426 0.4027 0.6149
0.8788 0.7667 0.0469
```

The 6 most intense peaks (10° ≤ 2θ ≤ 90°), in order of falling intensity:
2θ/deg  d [Å]  I_rel
23.80  3.738  100
32.17  2.783  57
20.67  4.296  47
17.26  5.137  38
41.83  2.160  38
24.06  3.699  37


Record 2
TbInAg2I6: simulated powder diffractogram (Cu Kα X-rays), based on the PBE geometry in Alexandria.
No peak broadening, texture or thermal motion is included.

Structure:
```
TbInAg2I6
1.0
4.0163 2.3188 7.7819
-4.0163 2.3188 7.7819
0.0000 -4.6376 7.7819
Tb In Ag I
1 1 2 6
direct
0.0000 0.0000 0.0000
0.5000 0.5000 0.5000
0.2674 0.2674 0.2674
0.7326 0.7326 0.7326
0.0745 0.3866 0.7699
0.2301 0.9255 0.6134
0.3866 0.7699 0.0745
0.6134 0.2301 0.9255
0.7699 0.0745 0.3866
0.9255 0.6134 0.2301
```

The 6 most intense peaks (10° ≤ 2θ ≤ 90°), in order of falling intensity:
2θ/deg  d [Å]  I_rel
24.95  3.569  100
38.84  2.319  55
19.86  4.471  45
32.03  2.795  29
62.31  1.490  28
22.87  3.889  24


Record 3
AgIrI2O: simulated powder diffractogram (Cu Kα X-rays), based on the PBE geometry in Alexandria.
No peak broadening, texture or thermal motion is included.

Structure:
```
AgIrI2O
1.0
5.6808 0.0000 0.0000
0.0000 5.6808 0.0000
0.0000 0.0000 3.7526
Ag Ir I O
1 1 2 1
direct
0.0000 0.0000 0.0000
0.5000 0.5000 0.5000
0.0000 0.5000 0.5000
0.5000 0.0000 0.5000
0.5000 0.5000 0.0000
```

The 6 most intense peaks (10° ≤ 2θ ≤ 90°), in order of falling intensity:
2θ/deg  d [Å]  I_rel
31.50  2.840  100
28.51  3.131  64
42.99  2.104  43
45.14  2.008  36
59.00  1.566  32
39.80  2.265  32


Record 4
K2Ag3I5: simulated powder diffractogram (Cu Kα X-rays), based on the PBE geometry in Alexandria.
No peak broadening, texture or thermal motion is included.

Structure:
```
K2Ag3I5
1.0
7.8028 -2.3354 0.0000
7.8028 2.3354 0.0000
-5.2174 0.0000 10.1940
K Ag I
2 3 5
direct
0.1669 0.1669 0.2418
0.8331 0.8331 0.7582
0.0000 0.0000 0.5000
0.4313 0.4313 0.1945
0.5687 0.5687 0.8055
0.1682 0.1682 0.7965
0.3919 0.3919 0.5605
0.5000 0.5000 0.0000
0.6081 0.6081 0.4395
0.8318 0.8318 0.2035
```

The 6 most intense peaks (10° ≤ 2θ ≤ 90°), in order of falling intensity:
2θ/deg  d [Å]  I_rel
27.10  3.290  100
31.16  2.871  47
25.97  3.431  42
38.55  2.335  32
12.74  6.946  31
36.55  2.458  30